Diffraction record for BaCoN2. The XRD peak list is calculated, not measured: it uses a DFT-relaxed cell (PBE, Alexandria) and Cu Kα.
Peak positions follow from Bragg's law for the DFT cell and can differ from measured ones.

Crystal structure
```
data_BaCoN2
_cell_length_a 6.4086
_cell_length_b 6.4086
_cell_length_c 7.6897
_cell_angle_alpha 90.00
_cell_angle_beta 90.00
_cell_angle_gamma 126.34
_symmetry_space_group_name_H-M 'P 1'
_symmetry_Int_Tables_number 1
loop_
_symmetry_equiv_pos_as_xyz
'x,y,z'
loop_
_atom_site_label
_atom_site_type_symbol
_atom_site_fract_x
_atom_site_fract_y
_atom_site_fract_z
Ba1 Ba 0.1583 0.8417 0.9398
Ba2 Ba 0.3417 0.6583 0.4398
Ba3 Ba 0.6583 0.3417 0.5602
Ba4 Ba 0.8417 0.1583 0.0602
Co1 Co 0.0529 0.9471 0.3659
Co2 Co 0.4471 0.5529 0.8659
Co3 Co 0.5529 0.4471 0.1341
Co4 Co 0.9471 0.0529 0.6341
N1 N 0.1114 0.8886 0.5873
N2 N 0.1552 0.3448 0.7500
N3 N 0.3448 0.1552 0.2500
N4 N 0.3886 0.6114 0.0873
N5 N 0.6114 0.3886 0.9127
N6 N 0.6552 0.8448 0.7500
N7 N 0.8448 0.6552 0.2500
N8 N 0.8886 0.1114 0.4127
```

The 12 most intense peaks (5 to 70 degrees two-theta), low angle first:
| 2θ (°) | d_spacing | I/Imax |
| --- | --- | --- |
| 23.13 | 3.845 | 17 |
| 28.96 | 3.084 | 46 |
| 30.39 | 2.941 | 100 |
| 30.92 | 2.892 | 48 |
| 33.43 | 2.680 | 16 |
| 36.67 | 2.451 | 14 |
| 38.49 | 2.339 | 17 |
| 38.97 | 2.311 | 16 |
| 39.25 | 2.295 | 21 |
| 54.66 | 1.679 | 19 |
| 57.88 | 1.593 | 13 |
| 60.05 | 1.541 | 13 |

Diffraction record for RbGa3I4. The XRD peak list is calculated, not measured: it uses a DFT-relaxed cell (PBE, Alexandria) and Cu Kα.
Peak positions follow from Bragg's law for the DFT cell and can differ from measured ones.

Crystal structure
```
data_RbGa3I4
_cell_length_a 13.7203
_cell_length_b 9.7104
_cell_length_c 4.8494
_cell_angle_alpha 90.00
_cell_angle_beta 90.08
_cell_angle_gamma 90.00
_symmetry_space_group_name_H-M 'P 1'
_symmetry_Int_Tables_number 1
loop_
_symmetry_equiv_pos_as_xyz
'x,y,z'
loop_
_atom_site_label
_atom_site_type_symbol
_atom_site_fract_x
_atom_site_fract_y
_atom_site_fract_z
Rb1 Rb 0.0000 0.0000 0.0000
Rb2 Rb 0.5000 0.5000 0.0000
Ga1 Ga 0.0000 0.5000 0.0000
Ga2 Ga 0.2500 0.2500 0.5000
Ga3 Ga 0.2500 0.7500 0.5000
Ga4 Ga 0.5000 0.0000 0.0000
Ga5 Ga 0.7500 0.2500 0.5000
Ga6 Ga 0.7500 0.7500 0.5000
I1 I 0.0000 0.2699 0.5000
I2 I 0.0000 0.7301 0.5000
I3 I 0.2406 0.5000 0.0004
I4 I 0.2594 0.0000 0.9996
I5 I 0.5000 0.2301 0.5000
I6 I 0.5000 0.7699 0.5000
I7 I 0.7406 0.0000 0.0004
I8 I 0.7594 0.5000 0.9996
```

The 12 most intense peaks (5 to 70 degrees two-theta), low angle first:
| 2θ (°) | d_spacing | I/Imax |
| --- | --- | --- |
| 22.44 | 3.961 | 11 |
| 25.97 | 3.431 | 100 |
| 28.35 | 3.149 | 2 |
| 33.93 | 2.642 | 2 |
| 37.06 | 2.426 | 76 |
| 43.76 | 2.069 | 5 |
| 45.81 | 1.981 | 27 |
| 51.12 | 1.787 | 2 |
| 53.41 | 1.715 | 13 |
| 60.33 | 1.534 | 34 |
| 66.77 | 1.401 | 18 |
| 66.86 | 1.399 | 6 |